The following is a computed PXRD pattern of AcMg2SiAg2. It was derived from a DFT-relaxed cell (PBE, Alexandria), using a wavelength of 1.5418 Å.

Principal peaks in the range 15° ≤ 2θ ≤ 90°, by intensity:
d/Å, I_rel
3.446, 100
3.171, 44
1.879, 37
2.052, 33
2.242, 26
2.952, 22
1.703, 13
1.255, 13

Structure:
Lattice parameters (Å, degrees): 8.6749 8.6749 8.6749 150.04 150.04 42.88
Positions (direct):
Ac 0.0000 0.0000 0.0000
Mg 0.2500 0.7500 0.5000
Mg 0.7500 0.2500 0.5000
Si 0.5000 0.5000 0.0000
Ag 0.3511 0.3511 0.0000
Ag 0.6489 0.6489 0.0000

=====

The following is a computed PXRD pattern of Ac2MgSi3Ag4. It was derived from a DFT-relaxed cell (PBE, Alexandria), using a wavelength of 1.5418 Å.

Principal peaks in the range 15° ≤ 2θ ≤ 90°, by intensity:
d/Å, I_rel
2.738, 100
2.849, 66
2.224, 53
1.753, 32
1.990, 30
3.145, 25
4.130, 24
1.483, 23

Structure:
Lattice parameters (Å, degrees): 4.4471 4.4471 11.1285 90.00 90.00 90.00
Positions (direct):
Ac 0.0000 0.5000 0.2362
Ac 0.5000 0.0000 0.7638
Mg 0.0000 0.0000 0.5000
Si 0.0000 0.5000 0.8667
Si 0.5000 0.0000 0.1333
Si 0.5000 0.5000 0.5000
Ag 0.0000 0.0000 0.0000
Ag 0.0000 0.5000 0.6369
Ag 0.5000 0.0000 0.3631
Ag 0.5000 0.5000 0.0000